For Th4TlTe8, a crystal structure in Alexandria, relaxed with GGA-PBE gives the theoretical X-ray powder pattern in this record (Cu Kα (λ = 1.5418 Å)).
Neutral-atom scattering factors, no anomalous dispersion.

Crystal structure
```
data_Th4TlTe8
_cell_length_a 21.3794
_cell_length_b 4.4960
_cell_length_c 14.3396
_cell_angle_alpha 90.00
_cell_angle_beta 128.30
_cell_angle_gamma 90.00
_symmetry_space_group_name_H-M 'C 1 m 1'
_symmetry_Int_Tables_number 8
loop_
_symmetry_equiv_pos_as_xyz
'x,y,z'
'x,-y,z'
'x+1/2,y+1/2,z'
'x+1/2,-y+1/2,z'
loop_
_atom_site_label
_atom_site_fract_x
_atom_site_fract_y
_atom_site_fract_z
Th1 0.0000 0.0000 0.0000
Th2 0.0067 0.5000 0.3745
Th3 0.2021 0.0000 0.7135
Th4 0.2171 0.5000 0.0884
Tl1 0.2618 0.5000 0.4493
Te1 0.0324 0.5000 0.8828
Te2 0.0773 0.5000 0.6416
Te3 0.1361 0.0000 0.4472
Te4 0.1854 0.0000 0.2119
Te5 0.2423 0.0000 0.9646
Te6 0.3221 0.5000 0.7592
Te7 0.3900 0.5000 0.3355
Te8 0.4803 0.0000 0.1320
```

Principal peaks in the range 2θ from 5° to 70°, sorted by position:
hkl	two_theta	I/Imax
2 0 -2	12.4	59
4 0 0	21.2	54
3 1 -1	23.5	74
3 1 -2	24.2	42
3 1 0	25.4	49
3 1 -3	27.3	44
5 1 -1	30.1	56
5 1 -4	32.7	100
0 2 0	40.1	57
1 1 4	40.9	53



For ThTl7Te6, a crystal structure in Alexandria, relaxed with GGA-PBE gives the theoretical X-ray powder pattern in this record (Cu Kα (λ = 1.5418 Å)).
Neutral-atom scattering factors, no anomalous dispersion.

Crystal structure
```
data_ThTl7Te6
_cell_length_a 9.4309
_cell_length_b 9.4309
_cell_length_c 21.0714
_cell_angle_alpha 90.00
_cell_angle_beta 90.00
_cell_angle_gamma 120.00
_symmetry_space_group_name_H-M 'R 3'
_symmetry_Int_Tables_number 146
_symmetry_space_group_name_Hall 'R 3'
loop_
_atom_site_label
_atom_site_fract_x
_atom_site_fract_y
_atom_site_fract_z
Th1 0.0000 0.0000 0.0000
Tl1 0.0000 0.0000 0.3529
Tl2 0.0236 0.2694 0.2362
Tl3 0.1082 0.6731 0.4299
Te1 0.0175 0.4358 0.7506
Te2 0.0912 0.7316 0.5891
```

Principal peaks in the range 2θ from 5° to 70°, sorted by position:
hkl	two_theta	I/Imax
1 1 3	22.7	45
0 0 6	25.4	35
2 1 1	29.2	100
3 -2 2	30.2	39
2 -1 6	31.8	69
3 0 0	32.9	22
3 -2 5	36.1	48
2 1 7	41.9	36
0 4 2	45.2	21
3 3 6	65.0	17



For ThUTe, a crystal structure in Alexandria, relaxed with GGA-PBE gives the theoretical X-ray powder pattern in this record (Cu Kα (λ = 1.5418 Å)).
Neutral-atom scattering factors, no anomalous dispersion.

Crystal structure
```
data_ThUTe
_cell_length_a 11.6278
_cell_length_b 3.6618
_cell_length_c 8.2109
_cell_angle_alpha 90.00
_cell_angle_beta 106.31
_cell_angle_gamma 90.00
_symmetry_space_group_name_H-M 'C 1 2/m 1'
_symmetry_Int_Tables_number 12
loop_
_symmetry_equiv_pos_as_xyz
'x,y,z'
'-x,-y,-z'
'-x,y,-z'
'x,-y,z'
'x+1/2,y+1/2,z'
'-x+1/2,-y+1/2,-z'
'-x+1/2,y+1/2,-z'
'x+1/2,-y+1/2,z'
loop_
_atom_site_label
_atom_site_fract_x
_atom_site_fract_y
_atom_site_fract_z
Th1 0.1753 0.0000 0.1434
U1 0.1147 0.0000 0.5234
Te1 0.0402 0.5000 0.7907
```

Principal peaks in the range 2θ from 5° to 70°, sorted by position:
hkl	two_theta	I/Imax
1 1 1	28.9	50
1 1 -2	32.8	100
4 0 -2	33.8	46
0 0 3	34.1	44
3 1 0	34.4	68
4 0 1	37.1	32
0 2 0	49.8	21
3 1 3	54.2	32
4 2 -2	61.5	22
0 2 3	61.8	21



For Y2Th3Te8, a crystal structure in Alexandria, relaxed with GGA-PBE gives the theoretical X-ray powder pattern in this record (Cu Kα (λ = 1.5418 Å)).
Neutral-atom scattering factors, no anomalous dispersion.

Crystal structure
```
data_Y2Th3Te8
_cell_length_a 15.7256
_cell_length_b 8.7864
_cell_length_c 7.4212
_cell_angle_alpha 90.00
_cell_angle_beta 106.70
_cell_angle_gamma 90.00
_symmetry_space_group_name_H-M 'C 1 2/m 1'
_symmetry_Int_Tables_number 12
loop_
_symmetry_equiv_pos_as_xyz
'x,y,z'
'-x,-y,-z'
'-x,y,-z'
'x,-y,z'
'x+1/2,y+1/2,z'
'-x+1/2,-y+1/2,-z'
'-x+1/2,y+1/2,-z'
'x+1/2,-y+1/2,z'
loop_
_atom_site_label
_atom_site_fract_x
_atom_site_fract_y
_atom_site_fract_z
Y1 0.2449 0.0000 0.3258
Th1 0.0000 0.0000 0.5000
Th2 0.0000 0.2483 0.0000
Te1 0.1125 0.5000 0.8864
Te2 0.1262 0.2535 0.4180
Te3 0.1307 0.0000 0.9120
```

Principal peaks in the range 2θ from 5° to 70°, sorted by position:
hkl	two_theta	I/Imax
2 0 0	11.7	58
2 2 -1	24.9	79
0 0 2	25.1	30
2 0 2	30.7	54
4 2 -1	31.1	100
4 2 1	36.3	58
6 0 -2	37.5	30
0 4 0	41.1	30
2 2 -3	41.9	55
2 4 2	52.2	24



For Th5ZnTe4, a crystal structure in Alexandria, relaxed with GGA-PBE gives the theoretical X-ray powder pattern in this record (Cu Kα (λ = 1.5418 Å)).
Neutral-atom scattering factors, no anomalous dispersion.

Crystal structure
```
data_Th5ZnTe4
_cell_length_a 6.2534
_cell_length_b 7.6803
_cell_length_c 7.7185
_cell_angle_alpha 80.44
_cell_angle_beta 66.26
_cell_angle_gamma 66.08
_symmetry_space_group_name_H-M 'P 1'
_symmetry_Int_Tables_number 1
loop_
_symmetry_equiv_pos_as_xyz
'x,y,z'
loop_
_atom_site_label
_atom_site_fract_x
_atom_site_fract_y
_atom_site_fract_z
Th1 0.0000 0.0000 0.0000
Th2 0.1768 0.4440 0.2069
Th3 0.3800 0.7921 0.4473
Th4 0.5569 0.2361 0.6541
Th5 0.7793 0.6181 0.8271
Zn1 0.2794 0.6180 0.8271
Te1 0.0888 0.2204 0.6053
Te2 0.4680 0.0158 0.0489
Te3 0.6901 0.3974 0.2266
Te4 0.8667 0.8387 0.4275
```

Principal peaks in the range 2θ from 5° to 70°, sorted by position:
hkl	two_theta	I/Imax
1 0 -1	24.5	27
1 -1 1	24.6	26
0 1 -2	28.3	89
0 2 1	28.4	89
2 1 1	28.5	92
0 1 3	40.4	32
2 -1 0	40.6	68
2 3 2	40.7	100
2 -2 2	50.4	34
2 5 3	66.6	18



For Ti5Te2, a crystal structure in Alexandria, relaxed with GGA-PBE gives the theoretical X-ray powder pattern in this record (Cu Kα (λ = 1.5418 Å)).
Neutral-atom scattering factors, no anomalous dispersion.

Crystal structure
```
data_Ti5Te2
_cell_length_a 13.3359
_cell_length_b 5.3288
_cell_length_c 7.4655
_cell_angle_alpha 90.00
_cell_angle_beta 94.44
_cell_angle_gamma 90.00
_symmetry_space_group_name_H-M 'C 1 2/c 1'
_symmetry_Int_Tables_number 15
loop_
_symmetry_equiv_pos_as_xyz
'x,y,z'
'-x,-y,-z'
'-x,y,-z+1/2'
'x,-y,z+1/2'
'x+1/2,y+1/2,z'
'-x+1/2,-y+1/2,-z'
'-x+1/2,y+1/2,-z+1/2'
'x+1/2,-y+1/2,z+1/2'
loop_
_atom_site_label
_atom_site_fract_x
_atom_site_fract_y
_atom_site_fract_z
Ti1 0.0000 0.1875 0.2500
Ti2 0.1234 0.3212 0.9591
Ti3 0.2184 0.1093 0.3088
Te1 0.0948 0.2002 0.5875
```

Principal peaks in the range 2θ from 5° to 70°, sorted by position:
hkl	two_theta	I/Imax
1 1 1	21.9	60
2 0 -2	26.5	37
4 0 0	26.8	25
3 1 -1	28.1	50
0 2 0	33.6	41
4 0 2	37.7	82
2 2 1	38.7	54
5 1 -1	38.9	77
1 1 -3	40.2	100
4 2 2	51.4	36



For Ti3Te, a crystal structure in Alexandria, relaxed with GGA-PBE gives the theoretical X-ray powder pattern in this record (Cu Kα (λ = 1.5418 Å)).
Neutral-atom scattering factors, no anomalous dispersion.

Crystal structure
```
data_Ti3Te
_cell_length_a 4.0109
_cell_length_b 4.1916
_cell_length_c 4.2099
_cell_angle_alpha 90.00
_cell_angle_beta 90.00
_cell_angle_gamma 90.00
_symmetry_space_group_name_H-M 'P m m m'
_symmetry_Int_Tables_number 47
loop_
_symmetry_equiv_pos_as_xyz
'x,y,z'
'-x,-y,-z'
'-x,-y,z'
'x,y,-z'
'x,-y,-z'
'-x,y,z'
'-x,y,-z'
'x,-y,z'
loop_
_atom_site_label
_atom_site_fract_x
_atom_site_fract_y
_atom_site_fract_z
Ti1 0.0000 0.0000 0.0000
Ti2 0.0000 0.5000 0.5000
Ti3 0.5000 0.0000 0.5000
Te1 0.5000 0.5000 0.0000
```

Principal peaks in the range 2θ from 5° to 70°, sorted by position:
hkl	two_theta	I/Imax
0 1 0	21.1	18
1 0 0	22.2	8
1 1 0	30.8	14
1 1 1	37.7	100
0 0 2	43.0	17
0 2 0	43.2	17
2 0 0	45.2	15
0 2 2	62.5	10
2 0 2	64.1	10
2 2 0	64.3	10



For Ti3Te, a crystal structure in Alexandria, relaxed with GGA-PBE gives the theoretical X-ray powder pattern in this record (Cu Kα (λ = 1.5418 Å)).
Neutral-atom scattering factors, no anomalous dispersion.

Crystal structure
```
data_Ti3Te
_cell_length_a 6.1777
_cell_length_b 3.6085
_cell_length_c 7.1190
_cell_angle_alpha 90.00
_cell_angle_beta 109.65
_cell_angle_gamma 90.00
_symmetry_space_group_name_H-M 'P 1 21/m 1'
_symmetry_Int_Tables_number 11
loop_
_symmetry_equiv_pos_as_xyz
'x,y,z'
'-x,-y,-z'
'-x,y+1/2,-z'
'x,-y+1/2,z'
loop_
_atom_site_label
_atom_site_fract_x
_atom_site_fract_y
_atom_site_fract_z
Ti1 0.0619 0.2500 0.3822
Ti2 0.2974 0.2500 0.8813
Ti3 0.3972 0.7500 0.6165
Te1 0.2551 0.7500 0.1743
```

Principal peaks in the range 2θ from 5° to 70°, sorted by position:
hkl	two_theta	I/Imax
1 0 -1	16.5	18
1 0 1	23.4	21
0 1 1	28.1	21
1 1 0	29.1	30
2 0 0	30.7	18
0 1 2	36.6	100
2 0 1	37.6	27
2 1 -1	38.5	86
2 0 -3	41.9	49
0 2 0	50.6	23



For TiTl8Te6, a crystal structure in Alexandria, relaxed with GGA-PBE gives the theoretical X-ray powder pattern in this record (Cu Kα (λ = 1.5418 Å)).
Neutral-atom scattering factors, no anomalous dispersion.

Crystal structure
```
data_TiTl8Te6
_cell_length_a 9.2038
_cell_length_b 8.5652
_cell_length_c 15.3233
_cell_angle_alpha 90.00
_cell_angle_beta 90.00
_cell_angle_gamma 90.00
_symmetry_space_group_name_H-M 'P m n 21'
_symmetry_Int_Tables_number 31
loop_
_symmetry_equiv_pos_as_xyz
'x,y,z'
'-x+1/2,-y,z+1/2'
'-x,y,z'
'x+1/2,-y,z+1/2'
loop_
_atom_site_label
_atom_site_fract_x
_atom_site_fract_y
_atom_site_fract_z
Ti1 0.0000 0.1985 0.0000
Tl1 0.0000 0.5278 0.4925
Tl2 0.0000 0.5593 0.9051
Tl3 0.2199 0.1280 0.4242
Tl4 0.2385 0.9005 0.6948
Tl5 0.2445 0.3460 0.6906
Te1 0.0000 0.1201 0.5821
Te2 0.0000 0.3684 0.1404
Te3 0.0000 0.6207 0.6969
Te4 0.0000 0.9045 0.0516
Te5 0.2387 0.2448 0.9078
```

Principal peaks in the range 2θ from 5° to 70°, sorted by position:
hkl	two_theta	I/Imax
0 2 1	21.5	23
2 1 0	21.9	31
2 0 2	22.5	39
0 0 4	23.2	60
2 2 1	29.1	100
2 0 4	30.4	42
2 1 4	32.1	31
0 3 2	33.5	53
4 0 0	39.1	38
2 2 5	41.2	37



For Ti2Tl14Te9, a crystal structure in Alexandria, relaxed with GGA-PBE gives the theoretical X-ray powder pattern in this record (Cu Kα (λ = 1.5418 Å)).
Neutral-atom scattering factors, no anomalous dispersion.

Crystal structure
```
data_Ti2Tl14Te9
_cell_length_a 10.1515
_cell_length_b 10.1515
_cell_length_c 9.7739
_cell_angle_alpha 90.00
_cell_angle_beta 90.00
_cell_angle_gamma 120.00
_symmetry_space_group_name_H-M 'P -3'
_symmetry_Int_Tables_number 147
loop_
_symmetry_equiv_pos_as_xyz
'x,y,z'
'-x,-y,-z'
'-y,x-y,z'
'y,-x+y,-z'
'-x+y,-x,z'
'x-y,x,-z'
loop_
_atom_site_label
_atom_site_fract_x
_atom_site_fract_y
_atom_site_fract_z
Ti1 0.3333 0.6667 0.2326
Tl1 0.0000 0.0000 0.3235
Tl2 0.0073 0.6721 0.0660
Tl3 0.1573 0.4504 0.6162
Te1 0.0000 0.0000 0.0000
Te2 0.0876 0.4012 0.2907
Te3 0.3333 0.6667 0.9589
```

Principal peaks in the range 2θ from 5° to 70°, sorted by position:
hkl	two_theta	I/Imax
1 2 0	26.8	93
0 0 3	27.4	45
3 -1 1	28.4	62
1 0 3	29.2	28
3 0 0	30.5	65
0 3 1	31.9	65
1 1 3	32.6	100
3 -1 3	38.7	44
2 2 2	40.0	38
0 3 3	41.4	29



For Ti3VTe6, a crystal structure in Alexandria, relaxed with GGA-PBE gives the theoretical X-ray powder pattern in this record (Cu Kα (λ = 1.5418 Å)).
Neutral-atom scattering factors, no anomalous dispersion.

Crystal structure
```
data_Ti3VTe6
_cell_length_a 11.4585
_cell_length_b 11.4585
_cell_length_c 14.4595
_cell_angle_alpha 90.00
_cell_angle_beta 90.00
_cell_angle_gamma 120.00
_symmetry_space_group_name_H-M 'R -3'
_symmetry_Int_Tables_number 148
_symmetry_space_group_name_Hall '-R 3'
loop_
_atom_site_label
_atom_site_fract_x
_atom_site_fract_y
_atom_site_fract_z
Ti1 0.0423 0.5990 0.3627
V1 0.0000 0.0000 0.0000
V2 0.0000 0.0000 0.5000
Te1 0.0120 0.8086 0.8859
Te2 0.0340 0.8406 0.3742
```

Principal peaks in the range 2θ from 5° to 70°, sorted by position:
hkl	two_theta	I/Imax
2 0 2	21.7	13
1 0 4	26.2	40
1 2 2	26.8	100
3 -1 4	34.5	54
4 -1 2	34.9	66
1 1 6	40.6	22
4 1 0	41.7	35
2 2 6	49.4	33
0 5 4	52.6	16
3 4 2	58.0	19



For Ti2ZnTe, a crystal structure in Alexandria, relaxed with GGA-PBE gives the theoretical X-ray powder pattern in this record (Cu Kα (λ = 1.5418 Å)).
Neutral-atom scattering factors, no anomalous dispersion.

Crystal structure
```
data_Ti2ZnTe
_cell_length_a 6.5966
_cell_length_b 6.5966
_cell_length_c 6.5966
_cell_angle_alpha 90.00
_cell_angle_beta 90.00
_cell_angle_gamma 90.00
_symmetry_space_group_name_H-M 'F m -3 m'
_symmetry_Int_Tables_number 225
_symmetry_space_group_name_Hall '-F 4 2 3'
loop_
_atom_site_label
_atom_site_fract_x
_atom_site_fract_y
_atom_site_fract_z
Ti1 0.2500 0.2500 0.2500
Zn1 0.0000 0.0000 0.0000
Te1 0.0000 0.0000 0.5000
```

Principal peaks in the range 2θ from 5° to 70°, sorted by position:
hkl	two_theta	I/Imax
1 1 1	23.4	8
2 0 0	27.0	15
2 2 0	38.6	100
3 1 1	45.6	4
2 2 2	47.8	5
4 0 0	55.7	16
3 3 1	61.2	2
4 2 0	63.0	6
4 2 2	69.9	32